# 1
Computed XRD peak list of Ba6Na2Pt for Cu Kα (weighted mean of Kα1 and Kα2), from a PBE-relaxed structure.
Intensities are scaled so that the largest is 100.

Peak list (12 most intense, 5° ≤ 2θ ≤ 70°, low angle first)
| 2θ (°) | I (rel.) |
| --- | --- |
| 12.25 | 69 |
| 13.54 | 51 |
| 14.44 | 71 |
| 22.93 | 28 |
| 23.93 | 28 |
| 24.63 | 100 |
| 26.72 | 38 |
| 27.27 | 63 |
| 29.12 | 79 |
| 32.65 | 41 |
| 40.32 | 64 |
| 41.65 | 32 |

Structural model:
```
data_Ba6Na2Pt
_space_group_name_H-M_alt 'P 1'
_space_group_IT_number 1
_space_group_name_Hall 'P 1'
_cell_length_a 8.672
_cell_length_b 8.673
_cell_length_c 15.690
_cell_angle_alpha 90.00
_cell_angle_beta 123.52
_cell_angle_gamma 90.00
loop_
_atom_site_label
_atom_site_fract_x
_atom_site_fract_y
_atom_site_fract_z
Ba1 0.204 0.203 0.498
Ba2 0.204 0.297 0.998
Ba3 0.264 0.502 0.761
Ba4 0.264 0.998 0.261
Ba5 0.295 0.706 0.499
Ba6 0.295 0.794 0.999
Ba7 0.705 0.206 0.001
Ba8 0.705 0.294 0.501
Ba9 0.736 0.002 0.739
Ba10 0.736 0.498 0.239
Ba11 0.796 0.703 0.002
Ba12 0.796 0.797 0.502
Na1 0.246 0.005 0.750
Na2 0.246 0.495 0.250
Na3 0.754 0.505 0.750
Na4 0.754 0.995 0.250
Pt1 0.500 0.000 0.500
Pt2 0.500 0.500 0.000
```



# 2
Computed XRD peak list of Er5SnPb4 for Cu Kα (weighted mean of Kα1 and Kα2), from a PBE-relaxed structure.
Intensities are scaled so that the largest is 100.

Peak list (11 most intense, 5° ≤ 2θ ≤ 70°, low angle first)
| 2θ (°) | I (rel.) |
| --- | --- |
| 12.70 | 1 |
| 16.83 | 1 |
| 24.74 | 1 |
| 28.64 | 100 |
| 30.76 | 1 |
| 35.87 | 1 |
| 40.95 | 78 |
| 48.43 | 1 |
| 50.73 | 28 |
| 59.29 | 13 |
| 67.15 | 36 |

Structural model:
```
data_Er5SnPb4
_space_group_name_H-M_alt 'P 1'
_space_group_IT_number 1
_space_group_name_Hall 'P 1'
_cell_length_a 7.635
_cell_length_b 7.635
_cell_length_c 7.635
_cell_angle_alpha 99.59
_cell_angle_beta 99.59
_cell_angle_gamma 131.81
loop_
_atom_site_label
_atom_site_fract_x
_atom_site_fract_y
_atom_site_fract_z
Er1 0.000 0.000 0.000
Er2 0.204 0.598 0.806
Er3 0.398 0.204 0.606
Er4 0.598 0.793 0.394
Er5 0.793 0.398 0.194
Sn1 0.500 0.500 0.000
Pb1 0.095 0.300 0.399
Pb2 0.300 0.901 0.205
Pb3 0.696 0.095 0.795
Pb4 0.901 0.696 0.601
```



# 3
Computed XRD peak list of K5Cd4Au4 for Cu Kα (weighted mean of Kα1 and Kα2), from a PBE-relaxed structure.
Intensities are scaled so that the largest is 100.

Peak list (12 most intense, 5° ≤ 2θ ≤ 70°, low angle first)
| 2θ (°) | I (rel.) |
| --- | --- |
| 9.58 | 100 |
| 19.22 | 50 |
| 19.90 | 25 |
| 21.52 | 47 |
| 24.16 | 29 |
| 27.81 | 25 |
| 31.06 | 100 |
| 34.03 | 55 |
| 35.04 | 27 |
| 37.91 | 37 |
| 39.38 | 87 |
| 58.53 | 27 |

Structural model:
```
data_K5Cd4Au4
_space_group_name_H-M_alt 'P 1'
_space_group_IT_number 1
_space_group_name_Hall 'P 1'
_cell_length_a 9.534
_cell_length_b 9.534
_cell_length_c 9.534
_cell_angle_alpha 93.55
_cell_angle_beta 93.55
_cell_angle_gamma 151.17
loop_
_atom_site_label
_atom_site_fract_x
_atom_site_fract_y
_atom_site_fract_z
K1 0.000 0.000 0.000
K2 0.293 0.639 0.932
K3 0.361 0.293 0.653
K4 0.639 0.707 0.347
K5 0.707 0.361 0.068
Cd1 0.108 0.429 0.538
Cd2 0.429 0.892 0.321
Cd3 0.571 0.108 0.679
Cd4 0.892 0.571 0.462
Au1 0.047 0.732 0.779
Au2 0.268 0.047 0.314
Au3 0.732 0.953 0.686
Au4 0.953 0.268 0.221
```



# 4
Computed XRD peak list of Ho6PaSe8 for Cu Kα (weighted mean of Kα1 and Kα2), from a PBE-relaxed structure.
Intensities are scaled so that the largest is 100.

Peak list (12 most intense, 5° ≤ 2θ ≤ 70°, low angle first)
| 2θ (°) | I (rel.) |
| --- | --- |
| 13.41 | 12 |
| 25.85 | 10 |
| 27.02 | 18 |
| 31.29 | 100 |
| 34.18 | 6 |
| 41.02 | 3 |
| 44.84 | 74 |
| 47.02 | 3 |
| 53.14 | 9 |
| 55.70 | 26 |
| 62.39 | 3 |
| 65.29 | 12 |

Structural model:
```
data_Ho6PaSe8
_space_group_name_H-M_alt 'P 1'
_space_group_IT_number 1
_space_group_name_Hall 'P 1'
_cell_length_a 8.084
_cell_length_b 8.084
_cell_length_c 8.084
_cell_angle_alpha 60.00
_cell_angle_beta 60.00
_cell_angle_gamma 60.00
loop_
_atom_site_label
_atom_site_fract_x
_atom_site_fract_y
_atom_site_fract_z
Ho1 0.000 0.000 0.500
Ho2 0.000 0.500 0.000
Ho3 0.000 0.500 0.500
Ho4 0.500 0.000 0.000
Ho5 0.500 0.000 0.500
Ho6 0.500 0.500 0.000
Pa1 0.000 0.000 0.000
Se1 0.250 0.250 0.250
Se2 0.257 0.257 0.743
Se3 0.257 0.743 0.257
Se4 0.257 0.743 0.743
Se5 0.743 0.257 0.257
Se6 0.743 0.257 0.743
Se7 0.743 0.743 0.257
Se8 0.750 0.750 0.750
```



# 5
Computed XRD peak list of TiBe10V for Cu Kα (weighted mean of Kα1 and Kα2), from a PBE-relaxed structure.
Intensities are scaled so that the largest is 100.

Peak list (11 most intense, 5° ≤ 2θ ≤ 70°, low angle first)
| 2θ (°) | I (rel.) |
| --- | --- |
| 11.82 | 1 |
| 23.75 | 80 |
| 26.39 | 29 |
| 35.80 | 100 |
| 41.77 | 39 |
| 48.62 | 30 |
| 50.09 | 65 |
| 54.33 | 12 |
| 56.16 | 6 |
| 60.11 | 11 |
| 65.99 | 8 |

Structural model:
```
data_TiBe10V
_space_group_name_H-M_alt 'P 1'
_space_group_IT_number 1
_space_group_name_Hall 'P 1'
_cell_length_a 3.377
_cell_length_b 4.326
_cell_length_c 7.490
_cell_angle_alpha 90.00
_cell_angle_beta 90.00
_cell_angle_gamma 90.00
loop_
_atom_site_label
_atom_site_fract_x
_atom_site_fract_y
_atom_site_fract_z
Ti1 0.000 0.000 0.000
Be1 0.000 0.000 0.340
Be2 0.000 0.000 0.660
Be3 0.000 0.500 0.173
Be4 0.000 0.500 0.827
Be5 0.500 0.000 0.500
Be6 0.500 0.252 0.256
Be7 0.500 0.252 0.744
Be8 0.500 0.500 0.000
Be9 0.500 0.748 0.256
Be10 0.500 0.748 0.744
V1 0.000 0.500 0.500
```



# 6
Computed XRD peak list of FeHBr4 for Cu Kα (weighted mean of Kα1 and Kα2), from a PBE-relaxed structure.
Intensities are scaled so that the largest is 100.

Peak list (12 most intense, 5° ≤ 2θ ≤ 70°, low angle first)
| 2θ (°) | I (rel.) |
| --- | --- |
| 13.26 | 33 |
| 13.60 | 59 |
| 17.59 | 34 |
| 21.08 | 30 |
| 21.74 | 78 |
| 23.06 | 25 |
| 23.18 | 24 |
| 26.70 | 100 |
| 27.03 | 27 |
| 27.41 | 58 |
| 28.21 | 25 |
| 35.91 | 26 |

Structural model:
```
data_FeHBr4
_space_group_name_H-M_alt 'P 1'
_space_group_IT_number 1
_space_group_name_Hall 'P 1'
_cell_length_a 8.051
_cell_length_b 8.051
_cell_length_c 8.580
_cell_angle_alpha 104.86
_cell_angle_beta 104.86
_cell_angle_gamma 114.46
loop_
_atom_site_label
_atom_site_fract_x
_atom_site_fract_y
_atom_site_fract_z
Fe1 0.140 0.860 0.500
Fe2 0.860 0.140 0.000
H1 0.235 0.573 0.232
H2 0.573 0.235 0.732
Br1 0.196 0.684 0.658
Br2 0.225 0.358 0.191
Br3 0.247 0.808 0.262
Br4 0.358 0.225 0.691
Br5 0.684 0.196 0.158
Br6 0.807 0.822 0.897
Br7 0.808 0.247 0.762
Br8 0.822 0.807 0.397
```